This entry pairs a crystal structure of Dy2AgHg8 with its computed powder X-ray diffraction pattern. Radiation: Cu Kα X-rays. Structure: a cell relaxed with PBE.
Neutral-atom scattering factors, no anomalous dispersion.

Structure:
```
data_Dy2AgHg8
_chemical_formula_sum 'Dy2 Ag1 Hg8'
_cell_length_a 4.859
_cell_length_b 4.859
_cell_length_c 11.422
_cell_angle_alpha 90.00
_cell_angle_beta 90.00
_cell_angle_gamma 90.00
_space_group_name_H-M_alt 'P 4/m m m'
_space_group_IT_number 123
_space_group_name_Hall '-P 4 2'
loop_
_atom_site_label
_atom_site_fract_x
_atom_site_fract_y
_atom_site_fract_z
Dy1 0.000 0.000 0.187
Ag1 0.000 0.000 0.500
Hg1 0.000 0.500 0.000
Hg2 0.000 0.500 0.362
Hg3 0.500 0.500 0.178
```

Main lines, sorted by position (5 to 70 degrees two-theta):
| index | d/Å | 2θ/deg | I/Imax |
| --- | --- | --- | --- |
| 1 1 2 | 2.944 | 30.36 | 16.2 |
| 1 1 3 | 2.551 | 35.18 | 100.0 |
| 2 0 0 | 2.430 | 37.00 | 50.7 |
| 0 0 5 | 2.284 | 39.45 | 7.2 |
| 2 2 0 | 1.718 | 53.32 | 17.9 |
| 2 0 5 | 1.664 | 55.19 | 11.1 |
| 2 0 6 | 1.498 | 61.92 | 12.3 |
| 3 1 3 | 1.425 | 65.51 | 33.5 |